Entry 1:
Diffraction record for TaNbH. The powder diffractogram is simulated, not measured: it uses a DFT-relaxed cell (GGA-PBE, Alexandria) and Cu Kα, 1.54184 Å.
Kinematic intensities with the Lorentz-polarization factor, no thermal factor.

Crystal structure
```
6
Lattice="-2.389 2.392 3.436 2.389 -2.392 3.436 2.389 2.392 -3.436" Properties=species:S:1:pos:R:3 pbc="T T T"
Ta 1.194 0.067 0.000
Ta 1.194 -0.067 3.436
Nb 3.533 0.000 1.718
Nb 1.245 2.392 1.718
H 0.000 1.196 2.590
H 0.000 3.588 0.847
```

Principal peaks in the range 15 to 90 degrees two-theta, by intensity:
two_theta  d/Å  I_rel
37.32  2.410  100
37.63  2.390  48
67.71  1.384  34
67.09  1.395  18
54.27  1.690  17
79.56  1.205  11
26.36  3.380  11
53.32  1.718  9
25.93  3.436  6
46.27  1.962  5
80.39  1.194  3
80.28  1.196  3

***

Entry 2:
Diffraction record for TaNbH. The powder diffractogram is simulated, not measured: it uses a DFT-relaxed cell (GGA-PBE, Alexandria) and Cu Kα, 1.54184 Å.
Kinematic intensities with the Lorentz-polarization factor, no thermal factor.

Crystal structure
```
12
Lattice="3.403 0.000 0.000 0.000 4.793 0.000 0.000 0.000 9.649" Properties=species:S:1:pos:R:3 pbc="T T T"
Ta 3.402 1.197 1.303
Ta 0.001 3.593 3.522
Ta 1.701 1.200 8.346
Ta 1.702 3.596 6.127
Nb 0.001 1.199 6.071
Nb 3.402 3.596 8.403
Nb 1.702 1.197 3.578
Nb 1.701 3.593 1.246
H 0.847 2.360 9.649
H 0.854 2.433 4.824
H 2.549 0.037 0.000
H 2.556 4.756 4.824
```

Principal peaks in the range 15 to 90 degrees two-theta, by intensity:
two_theta  d/Å  I_rel
37.39  2.405  100
53.92  1.701  26
67.31  1.391  25
37.53  2.396  25
37.28  2.412  24
67.63  1.385  18
79.74  1.203  11
67.52  1.387  9
20.69  4.292  8
27.80  3.209  6
33.56  2.671  5
47.34  1.920  3

***

Entry 3:
Diffraction record for TaNbH2. The powder diffractogram is simulated, not measured: it uses a DFT-relaxed cell (GGA-PBE, Alexandria) and Cu Kα, 1.54184 Å.
Kinematic intensities with the Lorentz-polarization factor, no thermal factor.

Crystal structure
```
4
Lattice="1.742 -2.463 0.000 1.742 2.463 0.000 0.000 0.000 4.855" Properties=species:S:1:pos:R:3 pbc="T T T"
Ta 0.000 0.000 0.000
Nb 1.742 0.000 2.427
H 0.871 1.231 1.207
H 0.871 -1.231 3.648
```

Principal peaks in the range 15 to 90 degrees two-theta, by intensity:
two_theta  d/Å  I_rel
36.61  2.454  100
36.48  2.463  25
37.03  2.427  24
65.75  1.420  18
52.96  1.729  18
66.47  1.407  17
18.27  4.855  12
77.84  1.227  11
65.64  1.422  9
66.00  1.415  9
52.53  1.742  9
88.88  1.101  8

***

Entry 4:
Diffraction record for Ta4NbH4. The powder diffractogram is simulated, not measured: it uses a DFT-relaxed cell (GGA-PBE, Alexandria) and Cu Kα, 1.54184 Å.
Kinematic intensities with the Lorentz-polarization factor, no thermal factor.

Crystal structure
```
9
Lattice="4.353 -2.844 0.000 4.353 2.844 0.000 -2.474 0.000 4.408" Properties=species:S:1:pos:R:3 pbc="T T T"
Ta 0.000 0.000 0.000
Ta 4.086 1.425 2.768
Ta 6.027 0.000 1.057
Ta 4.086 -1.425 2.768
Nb 2.768 0.000 0.693
H 4.404 1.107 0.820
H 2.994 0.000 3.559
H 4.404 -1.107 0.820
H 7.060 0.000 2.678
```

Principal peaks in the range 15 to 90 degrees two-theta, by intensity:
two_theta  d/Å  I_rel
37.64  2.390  100
38.11  2.361  48
35.72  2.514  47
34.84  2.575  47
38.84  2.319  47
39.60  2.276  38
19.50  4.552  28
41.59  2.171  26
67.24  1.392  24
58.46  1.579  22
23.43  3.796  21
32.14  2.785  21

***

Entry 5:
Diffraction record for Ta4NbH10. The powder diffractogram is simulated, not measured: it uses a DFT-relaxed cell (GGA-PBE, Alexandria) and Cu Kα, 1.54184 Å.
Kinematic intensities with the Lorentz-polarization factor, no thermal factor.

Crystal structure
```
15
Lattice="-3.582 3.582 2.267 3.582 -3.582 2.267 3.582 3.582 -2.267" Properties=species:S:1:pos:R:3 pbc="T T T"
Ta 5.013 0.715 0.000
Ta 0.715 2.151 0.000
Ta 2.867 1.431 2.267
Ta -1.431 2.867 2.267
Nb 0.000 0.000 2.267
H 4.305 2.138 -1.143
H 2.138 2.860 -1.143
H 3.582 0.000 1.133
H 1.444 0.723 1.124
H -0.723 1.444 1.124
H 4.305 2.138 1.143
H 2.138 2.860 1.143
H 0.000 3.582 1.133
H 1.444 0.723 3.410
H -0.723 1.444 3.410
```

Principal peaks in the range 15 to 90 degrees two-theta, by intensity:
two_theta  d/Å  I_rel
34.27  2.616  100
39.78  2.266  48
68.69  1.366  40
57.52  1.602  35
72.21  1.308  12
85.76  1.133  6
23.22  3.831  3
17.51  5.066  3
24.86  3.582  1
50.13  1.820  1
42.80  2.113  1
43.75  2.069  1

***

Entry 6:
Diffraction record for TbNbH. The powder diffractogram is simulated, not measured: it uses a DFT-relaxed cell (GGA-PBE, Alexandria) and Cu Kα, 1.54184 Å.
Kinematic intensities with the Lorentz-polarization factor, no thermal factor.

Crystal structure
```
12
Lattice="3.267 0.000 0.000 -1.634 2.829 0.000 0.000 0.000 21.631" Properties=species:S:1:pos:R:3 pbc="T T T"
Tb 0.000 1.886 6.095
Tb 0.000 1.886 9.338
Tb 1.634 0.943 12.293
Tb 1.634 0.943 15.535
Nb 0.000 1.886 18.032
Nb 0.000 1.886 20.563
Nb 1.634 0.943 1.067
Nb 1.634 0.943 3.599
H 0.000 1.886 2.417
H 0.000 1.886 13.883
H 1.634 0.943 7.748
H 1.634 0.943 19.214
```

Principal peaks in the range 15 to 90 degrees two-theta, by intensity:
two_theta  d/Å  I_rel
32.72  2.737  100
40.53  2.226  61
31.62  2.829  47
56.32  1.634  36
28.89  3.090  28
38.00  2.368  28
43.36  2.087  27
64.53  1.444  18
33.13  2.704  16
60.94  1.520  15
49.78  1.832  14
31.90  2.806  13

***

Entry 7:
Diffraction record for Ti4NbH8. The powder diffractogram is simulated, not measured: it uses a DFT-relaxed cell (GGA-PBE, Alexandria) and Cu Kα, 1.54184 Å.
Kinematic intensities with the Lorentz-polarization factor, no thermal factor.

Crystal structure
```
13
Lattice="4.863 0.000 0.000 0.000 4.863 0.000 0.000 0.000 4.863" Properties=species:S:1:pos:R:3 pbc="T T T"
Ti 0.000 0.000 0.000
Ti 0.000 2.432 2.432
Ti 2.432 0.000 2.432
Ti 2.432 2.432 0.000
Nb 2.432 2.432 2.432
H 1.182 1.182 1.182
H 1.182 1.182 3.681
H 1.182 3.681 1.182
H 1.182 3.681 3.681
H 3.681 1.182 1.182
H 3.681 1.182 3.681
H 3.681 3.681 1.182
H 3.681 3.681 3.681
```

Principal peaks in the range 15 to 90 degrees two-theta, by intensity:
two_theta  d/Å  I_rel
36.97  2.432  100
18.24  4.863  74
53.28  1.719  74
25.91  3.439  64
41.52  2.175  35
45.70  1.985  26
31.87  2.808  24
66.62  1.404  22
56.79  1.621  17
72.76  1.300  13
60.17  1.538  11
78.71  1.216  10

***

Entry 8:
Diffraction record for TiNbH3. The powder diffractogram is simulated, not measured: it uses a DFT-relaxed cell (GGA-PBE, Alexandria) and Cu Kα, 1.54184 Å.
Kinematic intensities with the Lorentz-polarization factor, no thermal factor.

Crystal structure
```
10
Lattice="2.470 1.426 3.982 -2.470 1.426 3.982 0.000 -2.853 3.982" Properties=species:S:1:pos:R:3 pbc="T T T"
Ti 0.000 0.000 1.510
Ti 0.000 0.000 10.435
Nb 0.000 0.000 4.473
Nb 0.000 0.000 7.472
H -1.209 -1.456 5.001
H -0.656 -1.775 6.944
H -0.656 1.775 5.001
H -1.209 1.456 6.944
H 1.865 -0.319 5.001
H 1.865 0.319 6.944
```

Principal peaks in the range 15 to 90 degrees two-theta, by intensity:
two_theta  d/Å  I_rel
36.37  2.470  100
36.70  2.449  98
52.62  1.739  34
65.65  1.422  34
22.07  4.028  21
65.43  1.426  17
66.30  1.410  16
88.70  1.103  14
89.29  1.097  14
77.23  1.235  10
78.05  1.224  10
43.09  2.099  7

***

Entry 9:
Diffraction record for NbTl3H. The powder diffractogram is simulated, not measured: it uses a DFT-relaxed cell (GGA-PBE, Alexandria) and Cu Kα, 1.54184 Å.
Kinematic intensities with the Lorentz-polarization factor, no thermal factor.

Crystal structure
```
5
Lattice="5.555 0.000 0.000 0.000 5.555 0.000 0.000 0.000 5.555" Properties=species:S:1:pos:R:3 pbc="T T T"
Nb 0.000 0.000 0.000
Tl 0.000 0.000 2.777
Tl 0.000 2.777 0.000
Tl 2.777 0.000 0.000
H 2.777 2.777 2.777
```

Principal peaks in the range 15 to 90 degrees two-theta, by intensity:
two_theta  d/Å  I_rel
27.82  3.207  100
32.23  2.777  99
15.96  5.555  97
46.23  1.964  73
36.16  2.484  52
54.82  1.675  48
76.73  1.242  33
49.21  1.852  27
57.47  1.603  26
85.68  1.134  26
74.45  1.274  20
69.81  1.347  15

***

Entry 10:
Diffraction record for NbTlH. The powder diffractogram is simulated, not measured: it uses a DFT-relaxed cell (GGA-PBE, Alexandria) and Cu Kα, 1.54184 Å.
Kinematic intensities with the Lorentz-polarization factor, no thermal factor.

Crystal structure
```
6
Lattice="3.132 0.000 0.000 1.434 2.819 0.000 1.298 0.153 11.273" Properties=species:S:1:pos:R:3 pbc="T T T"
Nb 0.000 0.000 0.000
Nb 2.280 1.412 2.224
Tl 2.892 1.065 8.334
Tl 3.915 2.306 5.180
H 0.751 0.457 2.964
H 4.335 2.018 10.533
```

Principal peaks in the range 15 to 90 degrees two-theta, by intensity:
two_theta  d/Å  I_rel
35.39  2.536  100
31.75  2.818  84
35.81  2.507  56
23.68  3.758  52
37.43  2.403  42
35.68  2.516  39
32.44  2.760  35
34.59  2.593  28
32.64  2.743  26
58.63  1.575  26
65.88  1.418  23
39.31  2.292  22

***

Entry 11:
Diffraction record for NbVH4. The powder diffractogram is simulated, not measured: it uses a DFT-relaxed cell (GGA-PBE, Alexandria) and Cu Kα, 1.54184 Å.
Kinematic intensities with the Lorentz-polarization factor, no thermal factor.

Crystal structure
```
12
Lattice="-2.198 2.198 4.386 2.198 -2.198 4.386 2.198 2.198 -4.386" Properties=species:S:1:pos:R:3 pbc="T T T"
Nb 2.198 1.099 1.097
Nb 0.000 1.099 3.290
V 2.198 -1.099 3.290
V 0.000 3.297 1.097
H 1.009 0.000 0.000
H 3.388 0.000 0.000
H 1.099 2.108 -2.193
H 1.099 -0.090 2.193
H 1.009 2.198 0.000
H 1.190 0.000 4.386
H -1.099 2.289 2.193
H 1.099 2.289 2.193
```

Principal peaks in the range 15 to 90 degrees two-theta, by intensity:
two_theta  d/Å  I_rel
35.39  2.536  100
59.52  1.553  32
41.06  2.198  30
71.14  1.325  23
41.16  2.193  15
22.62  3.930  15
71.28  1.323  12
74.88  1.268  10
47.38  1.919  4
36.92  2.435  4
56.42  1.631  4
89.08  1.099  3

***

Entry 12:
Diffraction record for NbV3H4. The powder diffractogram is simulated, not measured: it uses a DFT-relaxed cell (GGA-PBE, Alexandria) and Cu Kα, 1.54184 Å.
Kinematic intensities with the Lorentz-polarization factor, no thermal factor.

Crystal structure
```
16
Lattice="6.571 0.000 0.000 0.000 4.542 0.000 0.000 0.000 4.609" Properties=species:S:1:pos:R:3 pbc="T T T"
Nb 0.000 1.136 0.000
Nb 3.285 3.406 2.305
V 0.000 3.408 2.309
V 1.639 1.116 2.311
V 1.647 3.426 0.006
V 3.285 1.134 0.004
V 4.924 3.426 0.006
V 4.932 1.116 2.311
H 0.000 0.584 1.864
H 0.000 3.805 4.050
H 1.546 2.786 1.672
H 1.740 1.756 3.976
H 3.285 0.737 1.745
H 3.285 3.958 4.169
H 4.831 1.756 3.976
H 5.025 2.786 1.672
```

Principal peaks in the range 15 to 90 degrees two-theta, by intensity:
two_theta  d/Å  I_rel
39.08  2.305  100
39.69  2.271  19
70.80  1.331  19
56.92  1.618  13
71.62  1.318  12
83.96  1.153  10
55.98  1.643  7
70.38  1.338  6
23.82  3.736  5
23.58  3.774  5
27.57  3.235  3
27.14  3.285  2